# Nd2SmPu3Se6
Theoretical PXRD pattern, copper Kα. Input: a crystal structure in Alexandria, relaxed with PBE.
Intensities are scaled so that the largest is 100.

Most intense lines, 15 to 90 degrees two-theta, sorted by position:
2θ = 26.16°, intensity 24
2θ = 30.26°, intensity 100
2θ = 43.18°, intensity 25
2θ = 43.35°, intensity 25
2θ = 43.44°, intensity 25
2θ = 51.24°, intensity 8
2θ = 53.77°, intensity 13
2θ = 62.98°, intensity 8
2θ = 71.49°, intensity 17
2θ = 79.45°, intensity 9

Structural model:
```
12
Lattice="9.0980 -2.0864 0.0000 9.0980 2.0864 0.0000 -1.8533 0.0000 8.1443" Properties=species:S:1:pos:R:3 pbc="T T T"
Nd 2.4041 0.0000 2.7327
Nd 13.9386 0.0000 5.4116
Sm 9.0980 0.0000 0.0000
Pu 1.4970 0.0000 6.7979
Pu 8.1713 0.0000 4.0722
Pu 14.8457 0.0000 1.3464
Se -1.3568 0.0000 6.1006
Se 4.3465 0.0000 7.5022
Se 5.3258 0.0000 3.3457
Se 11.0168 0.0000 4.7986
Se 11.9961 0.0000 0.6421
Se 17.6995 0.0000 2.0437
```